[1]
The following is a calculated powder XRD pattern of Er4Mg3Cd2. It was derived from a structure optimized by DFT (PBE), using Cu Kα (λ = 1.5418 Å).
Peak positions follow from Bragg's law for the DFT cell and can differ from measured ones.

Structure:
a b c (Å): 5.2481 5.2481 9.7873
angles (deg): 90.00 90.00 120.00
Space group P-3m1 (No. 164)
Unique sites:
Er 0.0000 0.0000 0.1727 [2 per cell]
Er 0.3333 0.6667 0.6199 [2 per cell]
Mg 0.0000 0.0000 0.5000 [1 per cell]
Mg 0.3333 0.6667 0.9857 [2 per cell]
Cd 0.3333 0.6667 0.3004 [2 per cell]

The 10 most intense peaks (10° ≤ 2θ ≤ 90°), by angle:
2theta	d (Å)	I_rel	h k l
18.13	4.894	126	0 0 2
21.56	4.122	452	1 0 1
26.77	3.330	144	1 0 2
33.82	2.650	998	0 1 3
34.17	2.624	1000	1 1 0
48.84	1.865	353	2 0 3
60.28	1.535	142	1 0 6
60.95	1.520	361	1 2 3
61.18	1.515	183	3 0 0
81.94	1.176	155	3 1 3

=====

[2]
The following is a calculated powder XRD pattern of ErMg2Tl2Cd2. It was derived from a structure optimized by DFT (PBE), using Cu Kα (λ = 1.5418 Å).
Peak positions follow from Bragg's law for the DFT cell and can differ from measured ones.

Structure:
a b c (Å): 8.689 4.878 8.385
angles (deg): 90.00 107.54 90.00
Space group C2/m (No. 12)
Unique sites:
Er 0.000 0.000 0.000 [2 per cell]
Mg 0.076 0.500 0.712 [4 per cell]
Tl 0.218 0.500 0.168 [4 per cell]
Cd 0.137 0.000 0.422 [4 per cell]

The 10 most intense peaks (10° ≤ 2θ ≤ 90°), by angle:
2theta	d (Å)	I_rel	h k l
11.07	7.995	193	0 0 1
21.13	4.204	169	1 1 0
22.34	3.980	208	1 1 -1
33.20	2.698	1000	1 1 2
34.08	2.631	454	2 0 -3
36.09	2.488	845	3 1 -1
36.85	2.439	401	0 2 0
48.62	1.873	174	4 0 1
51.06	1.789	288	2 2 -3
64.12	1.452	287	1 3 2

=====

[3]
The following is a calculated powder XRD pattern of NaEr5Cd6. It was derived from a structure optimized by DFT (PBE), using Cu Kα (λ = 1.5418 Å).
Peak positions follow from Bragg's law for the DFT cell and can differ from measured ones.

Structure:
a b c (Å): 5.239 15.714 7.417
angles (deg): 90.00 90.00 90.00
Space group Cmmm (No. 65)
Unique sites:
Na 0.000 0.000 0.000 [2 per cell]
Er 0.000 0.000 0.500 [2 per cell]
Er 0.000 0.333 0.000 [4 per cell]
Er 0.000 0.334 0.500 [4 per cell]
Cd 0.000 0.166 0.249 [8 per cell]
Cd 0.000 0.500 0.249 [4 per cell]

The 10 most intense peaks (10° ≤ 2θ ≤ 90°), by angle:
2theta	d (Å)	I_rel	h k l
11.26	7.857	17	0 2 0
11.93	7.417	15	0 0 1
16.44	5.393	18	0 2 1
21.52	4.129	17	1 1 1
34.22	2.620	1000	2 0 0
49.18	1.853	178	2 6 0
61.28	1.513	362	3 3 2
72.09	1.310	111	4 0 0
82.26	1.172	104	3 9 2
82.32	1.171	52	4 6 0

=====

[4]
The following is a calculated powder XRD pattern of NaEr2Cd6. It was derived from a structure optimized by DFT (PBE), using Cu Kα (λ = 1.5418 Å).
Peak positions follow from Bragg's law for the DFT cell and can differ from measured ones.

Structure:
a b c (Å): 8.6731 8.6731 3.3430
angles (deg): 90.00 90.00 120.00
Space group P6/mmm (No. 191)
Unique sites:
Na 0.0000 0.0000 0.0000 [1 per cell]
Er 0.3333 0.6667 0.0000 [2 per cell]
Cd 0.0000 0.3336 0.5000 [6 per cell]

The 10 most intense peaks (10° ≤ 2θ ≤ 90°), by angle:
2theta	d (Å)	I_rel	h k l
11.78	7.511	242	1 0 0
33.86	2.648	1000	1 1 1
35.87	2.503	987	3 0 0
50.15	1.819	324	2 2 1
63.18	1.472	318	4 1 1
64.46	1.446	164	3 3 0
67.36	1.390	287	3 0 2
76.03	1.252	109	6 0 0
85.87	1.132	137	5 2 1
89.67	1.093	138	3 3 2

=====

[5]
The following is a calculated powder XRD pattern of NdEr3Cd. It was derived from a structure optimized by DFT (PBE), using Cu Kα (λ = 1.5418 Å).
Peak positions follow from Bragg's law for the DFT cell and can differ from measured ones.

Structure:
a b c (Å): 12.989 3.668 12.537
angles (deg): 90.00 93.51 90.00
Space group C2/m (No. 12)
Unique sites:
Nd 0.235 0.000 0.253 [4 per cell]
Er 0.035 0.000 0.688 [4 per cell]
Er 0.134 0.500 0.478 [4 per cell]
Er 0.146 0.000 0.949 [4 per cell]
Cd 0.052 0.500 0.127 [4 per cell]

The 10 most intense peaks (10° ≤ 2θ ≤ 90°), by angle:
2theta	d (Å)	I_rel	h k l
30.97	2.887	369	2 0 -4
31.86	2.809	581	4 0 2
32.53	2.752	1000	3 1 -1
33.53	2.672	901	1 1 3
43.46	2.082	146	6 0 -2
49.72	1.834	174	0 2 0
56.55	1.628	195	7 1 1
58.49	1.578	169	5 1 5
59.73	1.548	138	2 2 -4
60.27	1.536	187	4 2 2

=====

[6]
The following is a calculated powder XRD pattern of Nd12Er7Cd. It was derived from a structure optimized by DFT (PBE), using Cu Kα (λ = 1.5418 Å).
Peak positions follow from Bragg's law for the DFT cell and can differ from measured ones.

Structure:
a b c (Å): 11.574 11.574 11.574
angles (deg): 90.00 90.00 90.00
Space group Im-3 (No. 204)
Unique sites:
Nd 0.000 0.239 0.241 [24 per cell]
Er 0.000 0.000 0.500 [6 per cell]
Er 0.250 0.250 0.250 [8 per cell]
Cd 0.000 0.000 0.000 [2 per cell]

The 10 most intense peaks (10° ≤ 2θ ≤ 90°), by angle:
2theta	d (Å)	I_rel	h k l
15.31	5.787	235	2 0 0
21.72	4.092	262	2 2 0
26.68	3.341	606	2 2 2
30.90	2.894	1000	4 0 0
38.09	2.363	139	4 2 2
44.27	2.046	728	4 4 0
52.44	1.745	256	6 2 2
54.96	1.671	250	4 4 4
73.13	1.294	304	8 4 0
81.47	1.181	223	8 4 4

=====

[7]
The following is a calculated powder XRD pattern of Er5CdNi2. It was derived from a structure optimized by DFT (PBE), using Cu Kα (λ = 1.5418 Å).
Peak positions follow from Bragg's law for the DFT cell and can differ from measured ones.

Structure:
a b c (Å): 7.635 7.635 13.139
angles (deg): 90.00 90.00 90.00
Space group I4/mcm (No. 140)
Unique sites:
Er 0.000 0.000 0.000 [4 per cell]
Er 0.160 0.340 0.134 [16 per cell]
Cd 0.000 0.000 0.250 [4 per cell]
Ni 0.128 0.372 0.500 [8 per cell]

The 10 most intense peaks (10° ≤ 2θ ≤ 90°), by angle:
2theta	d (Å)	I_rel	h k l
26.98	3.305	349	2 1 1
31.89	2.806	302	1 1 4
33.26	2.694	1000	2 1 3
36.07	2.490	408	2 0 4
37.24	2.414	604	3 1 0
43.45	2.083	199	2 1 5
53.72	1.706	205	4 2 0
55.94	1.644	205	0 0 8
58.48	1.578	238	3 3 4
69.18	1.358	173	3 1 8

=====

[8]
The following is a calculated powder XRD pattern of ErCdNi. It was derived from a structure optimized by DFT (PBE), using Cu Kα (λ = 1.5418 Å).
Peak positions follow from Bragg's law for the DFT cell and can differ from measured ones.

Structure:
a b c (Å): 12.612 3.820 7.447
angles (deg): 90.00 90.00 90.00
Space group Pmma (No. 51)
Unique sites:
Er 0.046 0.000 0.225 [4 per cell]
Er 0.250 0.000 0.842 [2 per cell]
Cd 0.118 0.500 0.567 [4 per cell]
Cd 0.250 0.500 0.191 [2 per cell]
Ni 0.090 0.500 0.941 [4 per cell]
Ni 0.250 0.000 0.441 [2 per cell]

The 10 most intense peaks (10° ≤ 2θ ≤ 90°), by angle:
2theta	d (Å)	I_rel	h k l
33.61	2.667	358	0 1 2
33.91	2.643	1000	3 1 1
34.37	2.609	270	1 1 2
36.59	2.456	341	2 1 2
36.95	2.433	460	4 1 0
37.37	2.406	210	4 0 2
40.04	2.252	166	3 1 2
42.28	2.138	189	3 0 3
47.60	1.910	291	0 2 0
62.20	1.493	159	7 1 2

=====

[9]
The following is a calculated powder XRD pattern of ErNpCd2O6. It was derived from a structure optimized by DFT (PBE), using Cu Kα (λ = 1.5418 Å).
Peak positions follow from Bragg's law for the DFT cell and can differ from measured ones.

Structure:
a b c (Å): 5.718 5.842 10.133
angles (deg): 90.00 123.72 90.00
Space group P2_1/c (No. 14)
Unique sites:
Er 0.000 0.000 0.000 [2 per cell]
Np 0.500 0.000 0.500 [2 per cell]
Cd 0.251 0.041 0.751 [4 per cell]
O 0.136 0.073 0.253 [4 per cell]
O 0.250 0.675 0.063 [4 per cell]
O 0.395 0.190 0.065 [4 per cell]

The 10 most intense peaks (10° ≤ 2θ ≤ 90°), by angle:
2theta	d (Å)	I_rel	h k l
21.75	4.087	151	1 1 -1
30.35	2.945	699	1 1 1
30.60	2.922	1000	1 1 -3
31.29	2.859	321	2 0 -2
42.92	2.107	169	0 0 4
44.33	2.043	278	2 2 -2
53.63	1.709	154	0 2 4
54.39	1.687	206	2 0 -6
54.95	1.671	158	3 1 -1
55.41	1.658	160	3 1 -5

=====

[10]
The following is a calculated powder XRD pattern of ErPuCd2O6. It was derived from a structure optimized by DFT (PBE), using Cu Kα (λ = 1.5418 Å).
Peak positions follow from Bragg's law for the DFT cell and can differ from measured ones.

Structure:
a b c (Å): 5.7380 5.7380 15.2184
angles (deg): 90.00 90.00 120.00
Space group R3 (No. 146, hexagonal axes)
Unique sites:
Er 0.0000 0.0000 0.0000 [3 per cell]
Pu 0.0000 0.0000 0.4959 [3 per cell]
Cd 0.0000 0.0000 0.2782 [3 per cell]
Cd 0.0000 0.0000 0.7831 [3 per cell]
O 0.0474 0.3413 0.5705 [9 per cell]
O 0.0552 0.6957 0.0735 [9 per cell]

The 10 most intense peaks (10° ≤ 2θ ≤ 90°), by angle:
2theta	d (Å)	I_rel	h k l
21.36	4.161	353	0 1 2
29.57	3.021	1000	1 0 4
31.17	2.869	931	1 1 0
43.50	2.080	411	0 2 4
47.87	1.900	315	2 -1 6
51.44	1.777	131	0 1 8
54.48	1.684	387	3 -1 4
55.47	1.656	259	3 0 0
65.02	1.435	122	2 2 0
73.01	1.296	147	1 3 4

=====

[11]
The following is a calculated powder XRD pattern of Er7Cd2Os2. It was derived from a structure optimized by DFT (PBE), using Cu Kα (λ = 1.5418 Å).
Peak positions follow from Bragg's law for the DFT cell and can differ from measured ones.

Structure:
a b c (Å): 8.090 10.708 7.090
angles (deg): 90.00 90.00 90.00
Space group Cmmm (No. 65)
Unique sites:
Er 0.000 0.000 0.000 [2 per cell]
Er 0.000 0.500 0.240 [4 per cell]
Er 0.250 0.250 0.249 [8 per cell]
Cd 0.176 0.000 0.500 [4 per cell]
Os 0.000 0.290 0.000 [4 per cell]

The 10 most intense peaks (10° ≤ 2θ ≤ 90°), by angle:
2theta	d (Å)	I_rel	h k l
12.48	7.090	231	0 0 1
20.79	4.273	193	0 2 1
25.35	3.514	406	2 0 1
27.64	3.227	326	2 2 0
28.73	3.107	314	1 1 2
33.48	2.677	523	0 4 0
33.61	2.666	220	2 0 2
37.44	2.402	443	1 3 2
37.69	2.387	1000	2 2 2
44.81	2.023	200	4 0 0

=====

[12]
The following is a calculated powder XRD pattern of SmErCdOs. It was derived from a structure optimized by DFT (PBE), using Cu Kα (λ = 1.5418 Å).
Peak positions follow from Bragg's law for the DFT cell and can differ from measured ones.

Structure:
a b c (Å): 3.465 3.465 7.847
angles (deg): 90.00 90.00 90.00
Space group P4mm (No. 99)
Unique sites:
Sm 0.000 0.000 0.000 [1 per cell]
Er 0.000 0.000 0.574 [1 per cell]
Cd 0.500 0.500 0.299 [1 per cell]
Os 0.500 0.500 0.778 [1 per cell]

The 10 most intense peaks (10° ≤ 2θ ≤ 90°), by angle:
2theta	d (Å)	I_rel	h k l
11.28	7.847	219	0 0 1
34.53	2.597	1000	1 0 2
36.68	2.450	479	1 1 0
43.34	2.088	128	1 0 3
46.28	1.962	75	0 0 4
52.84	1.733	168	2 0 0
60.45	1.531	135	1 1 4
64.67	1.441	323	2 1 2
72.83	1.299	78	2 0 4
89.42	1.096	79	3 1 0

=====

[13]
The following is a calculated powder XRD pattern of Er4CdPb5. It was derived from a structure optimized by DFT (PBE), using Cu Kα (λ = 1.5418 Å).
Peak positions follow from Bragg's law for the DFT cell and can differ from measured ones.

Structure:
a b c (Å): 9.663 9.663 6.350
angles (deg): 90.00 90.00 90.00
Space group I4 (No. 79)
Unique sites:
Er 0.091 0.698 0.000 [8 per cell]
Cd 0.000 0.000 0.734 [2 per cell]
Pb 0.000 0.000 0.220 [2 per cell]
Pb 0.098 0.719 0.504 [8 per cell]

The 10 most intense peaks (10° ≤ 2θ ≤ 90°), by angle:
2theta	d (Å)	I_rel	h k l
28.11	3.175	244	0 0 2
29.23	3.056	1000	3 1 0
31.07	2.879	220	1 1 2
33.78	2.653	198	2 0 2
38.72	2.326	184	2 2 2
41.00	2.202	538	3 1 2
41.81	2.161	367	2 4 0
51.14	1.786	209	2 4 2
66.36	1.409	191	3 1 4
68.68	1.367	155	1 7 0